Entry 1:
Theoretical powder diffractogram of CsCaTlAuSe for Cu Kα, 1.54184 Å, from a crystal structure in Alexandria, relaxed with PBE.
Lines closer than 0.1° are merged.

Most intense lines, 10 to 90 degrees two-theta, low angle first:
2theta  intensity
16.45  30
23.82  49
24.30  26
27.44  100
30.66  57
32.52  69
41.60  70
43.62  32

Cell and atoms:
```
data_CsCaTlAuSe
_cell_length_a 4.3421
_cell_length_b 4.3421
_cell_length_c 32.3403
_cell_angle_alpha 90.00
_cell_angle_beta 90.00
_cell_angle_gamma 120.00
_space_group_name_H-M_alt 'R 3 m'
_space_group_IT_number 160
_space_group_name_Hall 'R 3 -2"'
loop_
_atom_site_label
_atom_site_type_symbol
_atom_site_fract_x
_atom_site_fract_y
_atom_site_fract_z
_atom_site_occupancy
Cs1 Cs 0.0000 0.0000 0.0000 1
Ca1 Ca 0.0000 0.0000 0.1210 1
Tl1 Tl 0.0000 0.0000 0.2333 1
Au1 Au 0.0000 0.0000 0.8532 1
Se1 Se 0.0000 0.0000 0.4095 1
```

***

Entry 2:
Theoretical powder diffractogram of Tb8PtSe3S4 for Cu Kα, 1.54184 Å, from a crystal structure in Alexandria, relaxed with PBE.
Lines closer than 0.1° are merged.

Most intense lines, 10 to 90 degrees two-theta, low angle first:
2theta  intensity
27.15  27
31.45  100
45.07  73
53.41  13
55.99  25
65.64  12
74.60  32
83.17  18

Cell and atoms:
```
data_Tb8PtSe3S4
_cell_length_a 8.0427
_cell_length_b 8.0427
_cell_length_c 19.7244
_cell_angle_alpha 90.00
_cell_angle_beta 90.00
_cell_angle_gamma 120.00
_space_group_name_H-M_alt 'R -3 m'
_space_group_IT_number 166
_space_group_name_Hall '-R 3 2"'
loop_
_atom_site_label
_atom_site_type_symbol
_atom_site_fract_x
_atom_site_fract_y
_atom_site_fract_z
_atom_site_occupancy
Tb1 Tb 0.0000 0.0000 0.2432 1
Tb2 Tb 0.0089 0.5044 0.7530 1
Pt1 Pt 0.0000 0.0000 0.0000 1
Se1 Se 0.0000 0.5000 0.0000 1
S1 S 0.0000 0.0000 0.5000 1
S2 S 0.0000 0.5000 0.5000 1
```